The following is a computed powder diffractogram of PmCd2Sb2. It was derived from a cell relaxed with PBE, using Cu Ka.
Neutral-atom scattering factors, no anomalous dispersion.

Top 10 peaks for 2θ from 10° to 90°, in order of falling intensity:
two_theta  I (rel.)  index
33.20  100  1 5 1
40.68  17  0 0 2
41.12  16  2 0 0
33.37  15  0 10 0
69.92  12  3 5 1
69.30  11  1 5 3
59.22  11  2 0 2
53.96  9  2 10 0
53.59  8  0 10 2
69.70  7  2 10 2

Atomic structure:
Lattice parameters (Å, degrees): 4.3902 26.8536 4.4361 90.00 90.00 90.00
Space group Cmcm (No. 63)
Inequivalent atoms, fractional coordinates:
Pm: 0.0000 0.1580 0.2500 [4 per cell]
Cd: 0.0000 0.0397 0.7500 [4 per cell]
Cd: 0.0000 0.4566 0.7500 [4 per cell]
Sb: 0.0000 0.2499 0.7500 [4 per cell]
Sb: 0.0000 0.3744 0.2500 [4 per cell]


The following is a computed powder diffractogram of K2RbCeF8. It was derived from a cell relaxed with PBE, using Cu Ka.
Neutral-atom scattering factors, no anomalous dispersion.

Top 10 peaks for 2θ from 10° to 90°, in order of falling intensity:
two_theta  I (rel.)  index
25.18  100  1 1 2
41.58  50  2 0 4
16.22  49  1 0 1
49.58  29  3 1 2
41.98  24  2 2 0
48.88  15  1 1 6
66.36  13  3 1 6
76.41  12  4 2 4
39.64  9  2 1 3
29.34  9  2 0 0

Atomic structure:
Lattice parameters (Å, degrees): 6.0878 6.0878 12.4014 90.00 90.00 90.00
Space group I-4m2 (No. 119)
Inequivalent atoms, fractional coordinates:
K: 0.0000 0.0000 0.0000 [2 per cell]
K: 0.0000 0.5000 0.2500 [2 per cell]
Rb: 0.0000 0.0000 0.5000 [2 per cell]
Ce: 0.0000 0.5000 0.7500 [2 per cell]
F: 0.2126 0.2792 0.8570 [16 per cell]


The following is a computed powder diffractogram of SrTl4Cd2. It was derived from a cell relaxed with PBE, using Cu Ka.
Neutral-atom scattering factors, no anomalous dispersion.

Top 10 peaks for 2θ from 10° to 90°, in order of falling intensity:
two_theta  I (rel.)  index
29.64  100  1 3 1
36.03  77  2 0 0
36.49  24  0 0 2
61.52  18  1 3 3
52.18  18  2 0 2
60.82  13  3 3 1
40.79  10  0 8 0
74.81  10  1 13 1
64.73  9  3 5 1
68.27  9  2 8 2

Atomic structure:
Lattice parameters (Å, degrees): 4.9918 17.6981 4.9246 90.00 90.00 90.00
Space group Cmmm (No. 65)
Inequivalent atoms, fractional coordinates:
Sr: 0.0000 0.0000 0.0000 [2 per cell]
Tl: 0.0000 0.1824 0.5000 [4 per cell]
Tl: 0.0000 0.3135 0.0000 [4 per cell]
Cd: 0.0000 0.4211 0.5000 [4 per cell]


The following is a computed powder diffractogram of Er2ZnGa5. It was derived from a cell relaxed with PBE, using Cu Ka.
Neutral-atom scattering factors, no anomalous dispersion.

Top 10 peaks for 2θ from 10° to 90°, in order of falling intensity:
two_theta  I (rel.)  index
36.85  100  2 0 2
42.81  49  2 2 0
74.49  37  4 2 2
62.14  32  4 0 0
21.03  18  1 1 0
29.91  15  1 1 2
78.41  11  4 0 4
48.16  8  3 1 0
53.10  6  3 1 2
66.38  4  3 3 0

Atomic structure:
Lattice parameters (Å, degrees): 5.9771 5.9771 8.4428 90.00 90.00 90.00
Space group I4mm (No. 107)
Inequivalent atoms, fractional coordinates:
Er: 0.0000 0.5000 0.0000 [4 per cell]
Zn: 0.0000 0.0000 0.0014 [2 per cell]
Ga: 0.0000 0.0000 0.4995 [2 per cell]
Ga: 0.2504 0.2504 0.2500 [8 per cell]


The following is a computed powder diffractogram of LaNdDy5. It was derived from a cell relaxed with PBE, using Cu Ka.
Neutral-atom scattering factors, no anomalous dispersion.

Top 10 peaks for 2θ from 10° to 90°, in order of falling intensity:
two_theta  I (rel.)  index
31.09  100  0 0 4
30.19  92  0 2 2
30.56  83  3 1 1
30.34  80  3 1 -3
32.83  51  2 2 1
35.15  41  2 2 -3
45.72  30  3 3 -1
54.74  28  3 1 -7
32.20  25  4 0 0
30.74  23  4 0 -2

Atomic structure:
Lattice parameters (Å, degrees): 11.7838 6.8961 12.1942 90.00 109.35 90.00
Space group C2/c (No. 15)
Inequivalent atoms, fractional coordinates:
La: 0.0000 0.0266 0.2500 [4 per cell]
Nd: 0.2500 0.2500 0.0000 [4 per cell]
Dy: 0.0000 0.4094 0.7500 [4 per cell]
Dy: 0.0789 0.2802 0.4988 [8 per cell]
Dy: 0.2205 0.3635 0.2530 [8 per cell]


The following is a computed powder diffractogram of CeMgTlPb. It was derived from a cell relaxed with PBE, using Cu Ka.
Neutral-atom scattering factors, no anomalous dispersion.

Top 10 peaks for 2θ from 10° to 90°, in order of falling intensity:
two_theta  I (rel.)  index
32.51  100  1 1 1
36.03  19  0 0 2
37.31  17  0 2 0
25.71  16  0 1 1
62.57  16  1 1 3
19.55  15  1 0 0
64.28  15  1 3 1
39.71  15  2 0 0
52.84  13  0 2 2
67.55  12  3 1 1

Atomic structure:
Lattice parameters (Å, degrees): 4.5398 4.8198 4.9853 90.00 90.00 90.00
Space group Pmmm (No. 47)
Inequivalent atoms, fractional coordinates:
Ce: 0.0000 0.0000 0.0000 [1 per cell]
Mg: 0.0000 0.5000 0.5000 [1 per cell]
Tl: 0.5000 0.0000 0.5000 [1 per cell]
Pb: 0.5000 0.5000 0.0000 [1 per cell]


The following is a computed powder diffractogram of La5PmDy2Tm. It was derived from a cell relaxed with PBE, using Cu Ka.
Neutral-atom scattering factors, no anomalous dispersion.

Top 10 peaks for 2θ from 10° to 90°, in order of falling intensity:
two_theta  I (rel.)  index
31.51  100  2 0 4
26.39  60  2 2 0
28.21  58  2 1 3
34.44  29  3 2 1
39.41  20  4 1 1
49.90  18  4 2 4
29.57  17  3 1 0
38.20  16  0 0 6
39.84  14  4 0 2
32.23  13  3 1 2

Atomic structure:
Lattice parameters (Å, degrees): 9.5538 9.5538 14.1215 90.00 90.00 90.00
Space group I4/mcm (No. 140)
Inequivalent atoms, fractional coordinates:
La: 0.0000 0.0000 0.0000 [4 per cell]
La: 0.2013 0.2987 0.1351 [16 per cell]
Pm: 0.0000 0.0000 0.2500 [4 per cell]
Dy: 0.1081 0.3919 0.5000 [8 per cell]
Tm: 0.0000 0.5000 0.2500 [4 per cell]